No. 1
The following is a computed X-ray powder pattern of Nd3Sm3Tl. It was derived from a structure optimized by DFT (PBE), using copper Kα.

Top 6 peaks for 15 to 90 degrees two-theta, sorted by position:
d (Å)  Position (°2θ)  I (rel.)
3.139  28.44  23
2.864  31.23  25
2.752  32.53  100
1.812  50.36  18
1.631  56.40  21
1.531  60.45  21

Unit cell a=9.588 b=9.588 c=5.729 alpha=90.00 beta=90.00 gamma=120.00
Positions (direct):
1 Nd 0.108 0.479 0.250
2 Nd 0.372 0.892 0.250
3 Nd 0.479 0.372 0.750
4 Nd 0.521 0.628 0.250
5 Nd 0.628 0.108 0.750
6 Nd 0.892 0.521 0.750
7 Sm 0.063 0.243 0.750
8 Sm 0.180 0.937 0.750
9 Sm 0.243 0.180 0.250
10 Sm 0.757 0.820 0.750
11 Sm 0.820 0.063 0.250
12 Sm 0.937 0.757 0.250
13 Tl 0.333 0.667 0.750
14 Tl 0.667 0.333 0.250


No. 2
The following is a computed X-ray powder pattern of NdSm5Tl3. It was derived from a structure optimized by DFT (PBE), using copper Kα.

Top 6 peaks for 15 to 90 degrees two-theta, sorted by position:
d (Å)  Position (°2θ)  I (rel.)
2.793  32.04  87
2.765  32.38  100
1.965  46.20  32
1.602  57.54  33
1.596  57.76  19
1.460  63.74  29

Unit cell a=9.577 b=9.577 c=6.877 alpha=90.00 beta=90.00 gamma=120.00
Positions (direct):
1 Nd 0.000 0.000 0.000
2 Nd 0.000 0.000 0.500
3 Sm 0.000 0.331 0.250
4 Sm 0.000 0.669 0.750
5 Sm 0.331 0.000 0.250
6 Sm 0.331 0.331 0.750
7 Sm 0.333 0.667 0.000
8 Sm 0.333 0.667 0.500
9 Sm 0.667 0.333 0.000
10 Sm 0.667 0.333 0.500
11 Sm 0.669 0.000 0.750
12 Sm 0.669 0.669 0.250
13 Tl 0.000 0.337 0.750
14 Tl 0.000 0.663 0.250
15 Tl 0.337 0.000 0.750
16 Tl 0.337 0.337 0.250
17 Tl 0.663 0.000 0.250
18 Tl 0.663 0.663 0.750


No. 3
The following is a computed X-ray powder pattern of Nd12SmTl6. It was derived from a structure optimized by DFT (PBE), using copper Kα.

Top 6 peaks for 15 to 90 degrees two-theta, sorted by position:
d (Å)  Position (°2θ)  I (rel.)
2.864  31.23  53
2.815  31.79  73
2.791  32.07  98
2.686  33.36  50
2.655  33.76  100
1.558  59.31  28

Unit cell a=8.447 b=8.447 c=8.447 alpha=88.88 beta=88.88 gamma=88.88
Positions (direct):
1 Nd 0.081 0.385 0.120
2 Nd 0.120 0.081 0.385
3 Nd 0.192 0.565 0.469
4 Nd 0.385 0.120 0.081
5 Nd 0.435 0.531 0.808
6 Nd 0.469 0.192 0.565
7 Nd 0.531 0.808 0.435
8 Nd 0.565 0.469 0.192
9 Nd 0.615 0.880 0.919
10 Nd 0.808 0.435 0.531
11 Nd 0.880 0.919 0.615
12 Nd 0.919 0.615 0.880
13 Sm 0.000 0.000 0.000
14 Tl 0.126 0.279 0.744
15 Tl 0.256 0.874 0.721
16 Tl 0.279 0.744 0.126
17 Tl 0.721 0.256 0.874
18 Tl 0.744 0.126 0.279
19 Tl 0.874 0.721 0.256


No. 4
The following is a computed X-ray powder pattern of NdSm3Tl3. It was derived from a structure optimized by DFT (PBE), using copper Kα.

Top 6 peaks for 15 to 90 degrees two-theta, sorted by position:
d (Å)  Position (°2θ)  I (rel.)
3.166  28.19  22
2.717  32.97  100
2.646  33.88  24
1.828  49.90  13
1.541  60.04  19
1.504  61.68  14

Unit cell a=9.671 b=9.671 c=5.292 alpha=90.00 beta=90.00 gamma=120.00
Positions (direct):
1 Nd 0.333 0.667 0.250
2 Nd 0.667 0.333 0.750
3 Sm 0.002 0.764 0.750
4 Sm 0.236 0.238 0.750
5 Sm 0.238 0.002 0.250
6 Sm 0.762 0.998 0.750
7 Sm 0.764 0.762 0.250
8 Sm 0.998 0.236 0.250
9 Tl 0.069 0.449 0.750
10 Tl 0.380 0.931 0.750
11 Tl 0.449 0.380 0.250
12 Tl 0.551 0.620 0.750
13 Tl 0.620 0.069 0.250
14 Tl 0.931 0.551 0.250


No. 5
The following is a computed X-ray powder pattern of Nd2SmTl2. It was derived from a structure optimized by DFT (PBE), using copper Kα.

Top 6 peaks for 15 to 90 degrees two-theta, sorted by position:
d (Å)  Position (°2θ)  I (rel.)
2.887  30.98  100
2.699  33.19  93
1.973  46.01  23
1.708  53.66  15
1.592  57.91  29
1.559  59.27  12

Unit cell a=5.403 b=6.866 c=9.342 alpha=103.15 beta=90.07 gamma=113.15
Positions (direct):
1 Nd 0.062 0.132 0.354
2 Nd 0.249 0.501 0.751
3 Nd 0.751 0.499 0.249
4 Nd 0.938 0.868 0.646
5 Sm 0.429 0.865 0.143
6 Sm 0.571 0.135 0.857
7 Tl 0.136 0.265 0.041
8 Tl 0.371 0.736 0.454
9 Tl 0.629 0.264 0.546
10 Tl 0.864 0.735 0.959


No. 6
The following is a computed X-ray powder pattern of Nd4SmTl4. It was derived from a structure optimized by DFT (PBE), using copper Kα.

Top 6 peaks for 15 to 90 degrees two-theta, sorted by position:
d (Å)  Position (°2θ)  I (rel.)
2.985  29.94  61
2.971  30.07  100
2.938  30.42  48
2.804  31.91  67
2.519  35.64  96
2.408  37.34  55

Unit cell a=9.397 b=9.397 c=6.295 alpha=90.00 beta=90.00 gamma=90.00
Positions (direct):
1 Nd 0.081 0.825 0.121
2 Nd 0.175 0.581 0.621
3 Nd 0.325 0.919 0.621
4 Nd 0.419 0.675 0.121
5 Nd 0.581 0.325 0.879
6 Nd 0.675 0.081 0.379
7 Nd 0.825 0.419 0.379
8 Nd 0.919 0.175 0.879
9 Sm 0.250 0.250 0.750
10 Sm 0.750 0.750 0.250
11 Tl 0.044 0.149 0.367
12 Tl 0.149 0.456 0.133
13 Tl 0.351 0.044 0.133
14 Tl 0.456 0.351 0.367
15 Tl 0.544 0.649 0.633
16 Tl 0.649 0.956 0.867
17 Tl 0.851 0.544 0.867
18 Tl 0.956 0.851 0.633


No. 7
The following is a computed X-ray powder pattern of Nd9Sm4Tl11. It was derived from a structure optimized by DFT (PBE), using copper Kα.

Top 6 peaks for 15 to 90 degrees two-theta, sorted by position:
d (Å)  Position (°2θ)  I (rel.)
2.839  31.51  100
2.826  31.66  97
2.564  34.99  71
2.268  39.75  23
1.699  53.98  26
1.530  60.50  33

Unit cell a=14.133 b=14.133 c=3.641 alpha=90.00 beta=90.00 gamma=100.14
Positions (direct):
1 Nd 0.000 0.000 0.000
2 Nd 0.122 0.642 0.000
3 Nd 0.293 0.470 0.000
4 Nd 0.358 0.878 0.000
5 Nd 0.470 0.293 0.000
6 Nd 0.530 0.707 0.000
7 Nd 0.642 0.122 0.000
8 Nd 0.707 0.530 0.000
9 Nd 0.878 0.358 0.000
10 Sm 0.069 0.237 0.000
11 Sm 0.237 0.069 0.000
12 Sm 0.763 0.931 0.000
13 Sm 0.931 0.763 0.000
14 Tl 0.084 0.433 0.500
15 Tl 0.137 0.863 0.500
16 Tl 0.266 0.266 0.500
17 Tl 0.327 0.673 0.500
18 Tl 0.433 0.084 0.500
19 Tl 0.500 0.500 0.500
20 Tl 0.567 0.916 0.500
21 Tl 0.673 0.327 0.500
22 Tl 0.734 0.734 0.500
23 Tl 0.863 0.137 0.500
24 Tl 0.916 0.567 0.500


No. 8
The following is a computed X-ray powder pattern of Nd2Sm3Tl. It was derived from a structure optimized by DFT (PBE), using copper Kα.

Top 6 peaks for 15 to 90 degrees two-theta, sorted by position:
d (Å)  Position (°2θ)  I (rel.)
2.919  30.63  100
2.662  33.67  17
2.632  34.06  22
2.331  38.63  12
1.872  48.65  12
1.569  58.84  16

Unit cell a=9.614 b=9.614 c=9.614 alpha=148.22 beta=122.00 gamma=67.67
Positions (direct):
1 Nd 0.277 0.027 0.250
2 Nd 0.427 0.677 0.750
3 Nd 0.573 0.323 0.250
4 Nd 0.723 0.973 0.750
5 Sm 0.000 0.500 0.500
6 Sm 0.133 0.171 0.962
7 Sm 0.290 0.829 0.462
8 Sm 0.500 0.500 0.000
9 Sm 0.710 0.171 0.538
10 Sm 0.867 0.829 0.038
11 Tl 0.103 0.353 0.750
12 Tl 0.897 0.647 0.250


No. 9
The following is a computed X-ray powder pattern of Nd5Sm4Tl2. It was derived from a structure optimized by DFT (PBE), using copper Kα.

Top 6 peaks for 15 to 90 degrees two-theta, sorted by position:
d (Å)  Position (°2θ)  I (rel.)
2.981  29.97  67
2.930  30.51  73
2.865  31.22  100
2.792  32.06  54
2.756  32.49  55
2.570  34.92  61

Unit cell a=8.954 b=3.640 c=11.360 alpha=90.00 beta=93.92 gamma=90.00
Positions (direct):
1 Nd 0.000 0.000 0.000
2 Nd 0.043 0.000 0.332
3 Nd 0.298 0.000 0.831
4 Nd 0.702 0.000 0.169
5 Nd 0.957 0.000 0.668
6 Sm 0.280 0.500 0.552
7 Sm 0.349 0.500 0.106
8 Sm 0.651 0.500 0.894
9 Sm 0.720 0.500 0.448
10 Tl 0.416 0.000 0.343
11 Tl 0.584 0.000 0.657


No. 10
The following is a computed X-ray powder pattern of Nd8SmTl5. It was derived from a structure optimized by DFT (PBE), using copper Kα.

Top 6 peaks for 15 to 90 degrees two-theta, sorted by position:
d (Å)  Position (°2θ)  I (rel.)
3.083  28.96  100
3.031  29.47  47
2.605  34.43  38
2.593  34.59  33
2.575  34.84  34
1.985  45.70  14

Unit cell a=8.397 b=8.397 c=8.397 alpha=108.94 beta=108.94 gamma=110.54
Positions (direct):
1 Nd 0.041 0.130 0.770
2 Nd 0.244 0.480 0.604
3 Nd 0.360 0.756 0.236
4 Nd 0.361 0.272 0.230
5 Nd 0.520 0.124 0.764
6 Nd 0.728 0.959 0.089
7 Nd 0.870 0.639 0.911
8 Nd 0.876 0.640 0.396
9 Sm 0.750 0.250 0.500
10 Tl 0.142 0.016 0.387
11 Tl 0.245 0.858 0.874
12 Tl 0.500 0.500 0.000
13 Tl 0.629 0.755 0.613
14 Tl 0.984 0.371 0.126


No. 11
The following is a computed X-ray powder pattern of Nd2SmTl2. It was derived from a structure optimized by DFT (PBE), using copper Kα.

Top 6 peaks for 15 to 90 degrees two-theta, sorted by position:
d (Å)  Position (°2θ)  I (rel.)
2.887  30.98  25
2.773  32.29  100
2.757  32.47  26
1.994  45.49  17
1.644  55.94  16
1.595  57.81  19

Unit cell a=3.858 b=5.515 c=14.562 alpha=90.00 beta=97.63 gamma=90.00
Positions (direct):
1 Nd 0.049 0.250 0.097
2 Nd 0.237 0.250 0.474
3 Nd 0.763 0.750 0.526
4 Nd 0.951 0.750 0.903
5 Sm 0.147 0.750 0.296
6 Sm 0.853 0.250 0.704
7 Tl 0.356 0.750 0.712
8 Tl 0.450 0.250 0.900
9 Tl 0.550 0.750 0.100
10 Tl 0.644 0.250 0.288


No. 12
The following is a computed X-ray powder pattern of Nd8SmTl6. It was derived from a structure optimized by DFT (PBE), using copper Kα.

Top 6 peaks for 15 to 90 degrees two-theta, sorted by position:
d (Å)  Position (°2θ)  I (rel.)
4.679  18.97  21
2.711  33.04  100
2.701  33.16  95
1.914  47.51  37
1.567  58.93  20
1.561  59.19  56

Unit cell a=8.571 b=8.571 c=8.571 alpha=66.17 beta=66.17 gamma=66.17
Positions (direct):
1 Nd 0.053 0.722 0.388
2 Nd 0.166 0.166 0.166
3 Nd 0.278 0.612 0.947
4 Nd 0.388 0.053 0.722
5 Nd 0.612 0.947 0.278
6 Nd 0.722 0.388 0.053
7 Nd 0.834 0.834 0.834
8 Nd 0.947 0.278 0.612
9 Sm 0.500 0.500 0.500
10 Tl 0.111 0.442 0.773
11 Tl 0.227 0.889 0.558
12 Tl 0.442 0.773 0.111
13 Tl 0.558 0.227 0.889
14 Tl 0.773 0.111 0.442
15 Tl 0.889 0.558 0.227